Theoretical X-ray diffraction stick pattern of Dy2TmIn3CuPd2 for Cu Kα, from a crystal structure in OQMD, relaxed with PBE.

Main lines, low angle first (10 to 90 degrees two-theta):
- 33.10°, I = 88, (1 3 1)
- 35.86°, I = 100, (1 4 0)
- 35.95°, I = 15, (0 5 1)
- 40.91°, I = 25, (0 6 0)
- 47.44°, I = 19, (2 0 0)
- 60.90°, I = 22, (2 1 3)
- 64.40°, I = 14, (2 6 0)
- 66.25°, I = 15, (1 7 3)

Structural model:
Cell lengths 3.8331, 13.2156, 7.6533 Å; angles 90.00, 90.00, 90.00 degrees
Space group Amm2 (No. 38)
Symmetry-distinct sites (fractional):
Dy  0.0000  0.2048  0.0000 [4 per cell]
Tm  0.0000  0.0000  0.3856 [2 per cell]
In  0.5000  0.0000  0.0477 [2 per cell]
In  0.5000  0.1257  0.6684 [4 per cell]
Cu  0.0000  0.0000  0.7942 [2 per cell]
Pd  0.5000  0.1654  0.2955 [4 per cell]